Entry 1:
Computed powder XRD pattern
Compound: PmNdDyEr2
Radiation: Cu Kα (λ = 1.5418 Å)
Structure: DFT lattice parameters and positions (GGA-PBE)
Neutral-atom scattering factors, no anomalous dispersion.

Largest 12 diffraction maxima, by intensity, 10° ≤ 2θ ≤ 80°:
d 2.990, 2θ = 29.9°, intensity 100
d 2.267, 2θ = 39.8°, intensity 39
d 2.679, 2θ = 33.4°, intensity 37
d 1.413, 2θ = 66.1°, intensity 21
d 1.730, 2θ = 52.9°, intensity 20
d 3.507, 2θ = 25.4°, intensity 17
d 1.475, 2θ = 63.0°, intensity 15
d 2.539, 2θ = 35.4°, intensity 15
d 1.603, 2θ = 57.5°, intensity 13
d 1.754, 2θ = 52.2°, intensity 13
d 2.536, 2θ = 35.4°, intensity 13
d 2.768, 2θ = 32.3°, intensity 13

Structural model:
a = 8.902 Å, b = 8.902 Å, c = 6.406 Å
α = 90.00°, β = 90.00°, γ = 137.75°
Element x y z (fractional)
Pm1 0.157 0.843 0.750
Pm2 0.843 0.157 0.250
Nd1 0.343 0.657 0.750
Nd2 0.657 0.343 0.250
Dy1 0.233 0.767 0.250
Dy2 0.767 0.233 0.750
Er1 0.247 0.247 0.000
Er2 0.247 0.247 0.500
Er3 0.753 0.753 0.000
Er4 0.753 0.753 0.500



Entry 2:
Computed powder XRD pattern
Compound: Nd2Sm7Mg2
Radiation: Cu Kα (λ = 1.5418 Å)
Structure: DFT lattice parameters and positions (GGA-PBE)
Neutral-atom scattering factors, no anomalous dispersion.

Largest 12 diffraction maxima, by intensity, 10° ≤ 2θ ≤ 80°:
d 2.769, 2θ = 32.3°, intensity 100
d 2.837, 2θ = 31.5°, intensity 99
d 2.759, 2θ = 32.4°, intensity 98
d 3.051, 2θ = 29.3°, intensity 87
d 2.884, 2θ = 31.0°, intensity 71
d 1.637, 2θ = 56.2°, intensity 56
d 2.597, 2θ = 34.5°, intensity 53
d 3.133, 2θ = 28.5°, intensity 52
d 3.563, 2θ = 25.0°, intensity 52
d 3.346, 2θ = 26.6°, intensity 49
d 3.258, 2θ = 27.4°, intensity 41
d 2.393, 2θ = 37.6°, intensity 35

Structural model:
a = 6.624 Å, b = 6.624 Å, c = 8.672 Å
α = 102.30°, β = 102.30°, γ = 95.67°
Element x y z (fractional)
Nd1 0.180 0.820 0.000
Nd2 0.820 0.180 0.000
Sm1 0.028 0.384 0.677
Sm2 0.358 0.358 0.085
Sm3 0.384 0.028 0.677
Sm4 0.500 0.500 0.500
Sm5 0.616 0.972 0.323
Sm6 0.642 0.642 0.915
Sm7 0.972 0.616 0.323
Mg1 0.116 0.116 0.335
Mg2 0.884 0.884 0.665



Entry 3:
Computed powder XRD pattern
Compound: NaAl2AsO6
Radiation: Cu Kα (λ = 1.5418 Å)
Structure: DFT lattice parameters and positions (GGA-PBE)
Neutral-atom scattering factors, no anomalous dispersion.

Largest 12 diffraction maxima, by intensity, 10° ≤ 2θ ≤ 80°:
d 3.812, 2θ = 23.3°, intensity 100
d 4.997, 2θ = 17.8°, intensity 75
d 3.991, 2θ = 22.3°, intensity 65
d 2.808, 2θ = 31.9°, intensity 62
d 3.316, 2θ = 26.9°, intensity 55
d 2.273, 2θ = 39.7°, intensity 47
d 3.058, 2θ = 29.2°, intensity 46
d 1.921, 2θ = 47.3°, intensity 27
d 1.584, 2θ = 58.2°, intensity 26
d 3.223, 2θ = 27.7°, intensity 25
d 2.585, 2θ = 34.7°, intensity 21
d 1.875, 2θ = 48.6°, intensity 20

Structural model:
a = 7.004 Å, b = 7.004 Å, c = 5.834 Å
α = 104.88°, β = 104.88°, γ = 102.64°
Element x y z (fractional)
Na1 0.101 0.899 0.750
Na2 0.899 0.101 0.250
Al1 0.298 0.448 0.839
Al2 0.448 0.298 0.339
Al3 0.552 0.702 0.661
Al4 0.702 0.552 0.161
As1 0.192 0.808 0.250
As2 0.808 0.192 0.750
O1 0.043 0.231 0.700
O2 0.175 0.638 0.971
O3 0.231 0.043 0.200
O4 0.330 0.433 0.539
O5 0.362 0.825 0.529
O6 0.433 0.330 0.039
O7 0.567 0.670 0.961
O8 0.638 0.175 0.471
O9 0.670 0.567 0.461
O10 0.769 0.957 0.800
O11 0.825 0.362 0.029
O12 0.957 0.769 0.300



Entry 4:
Computed powder XRD pattern
Compound: Ho7Cd2Co2
Radiation: Cu Kα (λ = 1.5418 Å)
Structure: DFT lattice parameters and positions (GGA-PBE)
Neutral-atom scattering factors, no anomalous dispersion.

Largest 12 diffraction maxima, by intensity, 10° ≤ 2θ ≤ 80°:
d 2.762, 2θ = 32.4°, intensity 100
d 2.600, 2θ = 34.5°, intensity 66
d 2.539, 2θ = 35.4°, intensity 38
d 2.818, 2θ = 31.8°, intensity 35
d 1.498, 2θ = 62.0°, intensity 31
d 3.131, 2θ = 28.5°, intensity 29
d 1.783, 2θ = 51.2°, intensity 17
d 1.822, 2θ = 50.1°, intensity 17
d 2.995, 2θ = 29.8°, intensity 15
d 1.900, 2θ = 47.9°, intensity 11
d 2.378, 2θ = 37.8°, intensity 11
d 3.099, 2θ = 28.8°, intensity 11

Structural model:
a = 9.725 Å, b = 9.725 Å, c = 9.725 Å
α = 158.87°, β = 63.39°, γ = 121.01°
Element x y z (fractional)
Ho1 0.000 0.000 0.000
Ho2 0.061 0.377 0.683
Ho3 0.078 0.728 0.350
Ho4 0.379 0.728 0.650
Ho5 0.427 0.567 0.859
Ho6 0.694 0.377 0.317
Ho7 0.708 0.567 0.141
Cd1 0.340 0.340 0.000
Cd2 0.722 0.222 0.500
Co1 0.319 0.080 0.239
Co2 0.840 0.080 0.761



Entry 5:
Computed powder XRD pattern
Compound: CeTl3F7
Radiation: Cu Kα (λ = 1.5418 Å)
Structure: DFT lattice parameters and positions (GGA-PBE)
Neutral-atom scattering factors, no anomalous dispersion.

Largest 12 diffraction maxima, by intensity, 10° ≤ 2θ ≤ 80°:
d 3.547, 2θ = 25.1°, intensity 100
d 3.090, 2θ = 28.9°, intensity 70
d 3.780, 2θ = 23.5°, intensity 52
d 3.427, 2θ = 26.0°, intensity 47
d 2.269, 2θ = 39.7°, intensity 36
d 2.110, 2θ = 42.9°, intensity 30
d 2.207, 2θ = 40.9°, intensity 17
d 1.926, 2θ = 47.2°, intensity 17
d 1.880, 2θ = 48.4°, intensity 16
d 2.167, 2θ = 41.7°, intensity 16
d 1.859, 2θ = 49.0°, intensity 15
d 1.826, 2θ = 50.0°, intensity 15

Structural model:
a = 6.202 Å, b = 6.202 Å, c = 7.247 Å
α = 112.00°, β = 112.00°, γ = 88.64°
Element x y z (fractional)
Ce1 0.000 0.000 0.000
Tl1 0.196 0.707 0.462
Tl2 0.452 0.452 0.957
Tl3 0.707 0.196 0.462
F1 0.087 0.087 0.759
F2 0.307 0.307 0.194
F3 0.308 0.867 0.198
F4 0.645 0.989 0.767
F5 0.846 0.846 0.167
F6 0.867 0.308 0.198
F7 0.989 0.645 0.767



Entry 6:
Computed powder XRD pattern
Compound: KCaEr2CuS5
Radiation: Cu Kα (λ = 1.5418 Å)
Structure: DFT lattice parameters and positions (GGA-PBE)
Neutral-atom scattering factors, no anomalous dispersion.

Largest 12 diffraction maxima, by intensity, 10° ≤ 2θ ≤ 80°:
d 6.804, 2θ = 13.0°, intensity 100
d 2.638, 2θ = 34.0°, intensity 70
d 3.158, 2θ = 28.3°, intensity 52
d 2.812, 2θ = 31.8°, intensity 30
d 2.933, 2θ = 30.5°, intensity 30
d 3.626, 2θ = 24.6°, intensity 28
d 1.986, 2θ = 45.7°, intensity 25
d 2.086, 2θ = 43.4°, intensity 22
d 1.892, 2θ = 48.1°, intensity 20
d 2.056, 2θ = 44.0°, intensity 20
d 1.972, 2θ = 46.0°, intensity 17
d 3.402, 2θ = 26.2°, intensity 16

Structural model:
a = 7.085 Å, b = 7.085 Å, c = 17.139 Å
α = 90.00°, β = 90.00°, γ = 147.67°
Element x y z (fractional)
K1 0.023 0.977 0.750
K2 0.977 0.023 0.250
Ca1 0.500 0.500 0.000
Ca2 0.500 0.500 0.500
Er1 0.230 0.770 0.103
Er2 0.230 0.770 0.397
Er3 0.770 0.230 0.603
Er4 0.770 0.230 0.897
Cu1 0.297 0.703 0.750
Cu2 0.703 0.297 0.250
S1 0.144 0.856 0.547
S2 0.144 0.856 0.953
S3 0.298 0.702 0.250
S4 0.396 0.604 0.639
S5 0.396 0.604 0.861
S6 0.604 0.396 0.139
S7 0.604 0.396 0.361
S8 0.702 0.298 0.750
S9 0.856 0.144 0.047
S10 0.856 0.144 0.453